This entry pairs a crystal structure of Cs3Rb3CoF8 with its computed powder X-ray diffraction pattern. Radiation: λ = 1.5418 Å (Cu Kα). Structure: a cell relaxed with GGA+U.
No peak broadening, texture or thermal motion is included.

Top 8 peaks for 10 to 80 degrees two-theta, sorted by position:
2theta  I (rel.)
13.5  250
15.5  157
26.4  263
27.2  704
31.3  1000
44.3  326
45.4  316
53.3  264

Structure:
Lattice parameters (Å, degrees): 7.9983 7.9983 8.1895 119.35 119.35 59.92
Element x y z (fractional)
Cs  0.0000  0.0000  0.0000
Cs  0.0000  0.5000  0.0000
Cs  0.5000  0.0000  0.0000
Rb  0.0000  0.5000  0.5000
Rb  0.5000  0.0000  0.5000
Rb  0.5000  0.5000  0.5000
Co  0.0000  0.0000  0.5000
F  0.1864  0.1864  0.6793
F  0.1869  0.8060  0.6809
F  0.1940  0.8131  0.3191
F  0.2564  0.2564  0.2689
F  0.7436  0.7436  0.7311
F  0.8060  0.1869  0.6809
F  0.8131  0.1940  0.3191
F  0.8136  0.8136  0.3207